Entry 1:
Structure and simulated powder XRD pattern of Sr4Tl5Pb2 (the GGA-PBE geometry in Alexandria; Cu Kα).

Structural model:
Cell: 10.290 4.040 10.297 Å, 90.00 118.46 90.00°
Space group P2/m (No. 10)
Inequivalent atoms, fractional coordinates:
Sr  0.232  0.000  0.227
Sr  0.250  0.000  0.749
Tl  0.092  0.500  0.913
Tl  0.438  0.500  0.113
Tl  0.500  0.500  0.500
Pb  0.120  0.500  0.436

Peak list (6 most intense, 10° ≤ 2θ ≤ 90°, in order of falling intensity)
2θ/deg  intensity
29.64  100
22.00  42
34.88  40
34.05  32
29.96  30
59.71  22

---

Entry 2:
Structure and simulated powder XRD pattern of Sr4Tl2Pb5 (the GGA-PBE geometry in Alexandria; Cu Kα).

Structural model:
Cell: 9.091 3.970 10.459 Å, 90.00 90.23 90.00°
Space group P2/m (No. 10)
Inequivalent atoms, fractional coordinates:
Sr  0.223  0.000  0.365
Sr  0.246  0.000  0.887
Tl  0.084  0.500  0.128
Pb  0.127  0.500  0.623
Pb  0.444  0.500  0.155
Pb  0.500  0.500  0.500

Peak list (6 most intense, 10° ≤ 2θ ≤ 90°, in order of falling intensity)
2θ/deg  intensity
29.91  100
34.27  43
22.40  38
34.17  28
58.32  20
45.71  18